This entry pairs a crystal structure of K2Li2MoO4 with its theoretical PXRD pattern. Radiation: copper Kα. Structure: the GGA+U geometry in Alexandria.
Lines closer than 0.1° are merged.

Top 10 peaks for 10° ≤ 2θ ≤ 90°, by angle:
d = 5.846 Å, 2θ 15.15, intensity 43; d = 5.643 Å, 2θ 15.71, intensity 79; d = 5.009 Å, 2θ 17.71, intensity 51; d = 3.503 Å, 2θ 25.42, intensity 40; d = 3.202 Å, 2θ 27.86, intensity 80; d = 2.971 Å, 2θ 30.08, intensity 45; d = 2.925 Å, 2θ 30.57, intensity 47; d = 2.513 Å, 2θ 35.74, intensity 43; d = 2.272 Å, 2θ 39.67, intensity 100; d = 2.128 Å, 2θ 42.48, intensity 38

```
K2Li2MoO4
1.0
6.007 -1.670 0.000
6.007 1.670 0.000
-2.136 0.000 5.846
K Li Mo O
2 2 1 4
Direct
0.137 0.137 0.054
0.863 0.863 0.946
0.320 0.320 0.516
0.680 0.680 0.484
0.000 0.000 0.500
0.184 0.184 0.638
0.485 0.485 0.706
0.515 0.515 0.294
0.816 0.816 0.362
```